Computed powder diffractogram
Compound: AcLaPr2Nd4
Radiation: Cu Kα, 1.54184 Å
Structure: DFT lattice parameters and positions (GGA-PBE)
Intensities are scaled so that the largest is 100.

Peak list (12 most intense, 2θ from 10° to 80°, sorted by position)
d/Å	2θ/deg	intensity	h k l
3.053	29.2	100	2 0 2
2.664	33.6	17	2 2 0
2.641	33.9	17	2 -2 0
2.629	34.1	17	0 0 4
1.871	48.7	18	4 0 0
1.863	48.9	12	2 -2 4
1.604	57.4	7	2 4 2
1.601	57.6	7	4 2 2
1.595	57.8	7	2 -4 2
1.592	57.9	7	4 -2 2
1.588	58.1	15	2 0 6
1.526	60.7	10	4 0 4

Structure:
a b c (Å): 7.489 7.515 10.516
angles (deg): 89.88 90.00 89.51
Space group P-1 (No. 2)
One atom of each set of equivalent atoms:
Ac 0.000 0.000 0.000 x1
Ac 0.500 0.000 0.500 x1
La 0.000 0.000 0.500 x1
La 0.000 0.500 0.500 x1
Pr 0.000 0.500 0.000 x1
Pr 0.500 0.000 0.000 x1
Pr 0.500 0.500 0.000 x1
Pr 0.500 0.500 0.500 x1
Nd 0.251 0.254 0.249 x2
Nd 0.251 0.254 0.751 x2
Nd 0.251 0.746 0.249 x2
Nd 0.251 0.746 0.751 x2

Computed powder diffractogram
Compound: AcLa4Nd3S8
Radiation: Cu Kα, 1.54184 Å
Structure: DFT lattice parameters and positions (GGA-PBE)
Intensities are scaled so that the largest is 100.

Peak list (12 most intense, 2θ from 10° to 80°, sorted by position)
d/Å	2θ/deg	intensity	h k l
6.767	13.1	3	0 0 3
5.862	15.1	1	0 1 2
3.535	25.2	2	0 2 1
3.384	26.3	76	2 0 2
2.931	30.5	100	0 2 4
2.073	43.7	73	2 2 0
1.767	51.7	39	2 2 6
1.692	54.2	26	4 0 4
1.466	63.5	12	0 4 8
1.345	69.9	12	4 2 2
1.344	70.0	4	2 0 14
1.311	72.0	33	2 4 4

Structure:
a b c (Å): 8.2951 8.2951 20.2830
angles (deg): 90.00 90.00 120.00
Space group R-3m (No. 166, hexagonal axes)
One atom of each set of equivalent atoms:
Ac 0.0000 0.0000 0.0000 x3
La 0.0000 0.0000 0.5000 x3
La 0.0000 0.5000 0.5000 x9
Nd 0.0000 0.5000 0.0000 x9
S 0.0000 0.0000 0.2515 x6
S 0.0069 0.5035 0.2501 x18

Computed powder diffractogram
Compound: Ac3LaNd2S6
Radiation: Cu Kα, 1.54184 Å
Structure: DFT lattice parameters and positions (GGA-PBE)
Intensities are scaled so that the largest is 100.

Peak list (12 most intense, 2θ from 10° to 80°, sorted by position)
d/Å	2θ/deg	intensity	h k l
3.433	26.0	67	0 0 2
3.424	26.0	22	2 0 0
2.971	30.1	100	1 3 1
2.102	43.0	50	0 6 0
2.098	43.1	25	3 3 -1
1.793	50.9	27	1 3 3
1.790	51.0	19	3 3 1
1.715	53.4	13	2 6 -2
1.485	62.5	12	2 6 2
1.330	70.8	11	0 6 4
1.328	71.0	23	4 6 0
1.213	78.9	13	3 9 -1

Structure:
a b c (Å): 7.264 12.602 7.293
angles (deg): 90.00 109.51 90.00
Space group C2/m (No. 12)
One atom of each set of equivalent atoms:
Ac 0.000 0.000 0.000 x2
Ac 0.000 0.334 0.000 x4
La 0.000 0.500 0.500 x2
Nd 0.000 0.167 0.500 x4
S 0.242 0.000 0.736 x4
S 0.247 0.332 0.737 x8

Computed powder diffractogram
Compound: Ac4LaNd2Sm
Radiation: Cu Kα, 1.54184 Å
Structure: DFT lattice parameters and positions (GGA-PBE)
Intensities are scaled so that the largest is 100.

Peak list (12 most intense, 2θ from 10° to 80°, sorted by position)
d/Å	2θ/deg	intensity	h k l
3.168	28.2	100	1 2 1
3.120	28.6	46	0 0 4
3.001	29.8	83	2 0 2
2.573	34.9	58	1 2 3
1.985	45.7	27	1 2 5
1.923	47.3	25	3 2 1
1.786	51.1	19	0 4 2
1.778	51.4	19	2 0 6
1.763	51.9	19	3 2 3
1.637	56.2	14	2 4 0
1.566	59.0	13	1 2 7
1.450	64.2	19	2 4 4

Structure:
a b c (Å): 6.847 7.458 12.481
angles (deg): 90.00 90.00 90.00
Space group I222 (No. 23)
One atom of each set of equivalent atoms:
Ac 0.249 0.125 0.249 x8
La 0.000 0.500 0.000 x2
Nd 0.000 0.251 0.500 x4
Sm 0.000 0.000 0.000 x2

Computed powder diffractogram
Compound: AcLa2Nd5Sm
Radiation: Cu Kα, 1.54184 Å
Structure: DFT lattice parameters and positions (GGA-PBE)
Intensities are scaled so that the largest is 100.

Peak list (12 most intense, 2θ from 10° to 80°, sorted by position)
d/Å	2θ/deg	intensity	h k l
3.237	27.6	32	2 1 3
3.169	28.2	52	2 2 0
3.031	29.5	100	2 0 4
2.680	33.4	14	3 1 2
2.544	35.3	8	2 1 5
2.458	36.6	12	3 2 1
2.339	38.5	10	2 0 6
2.162	41.8	11	4 0 2
2.057	44.0	12	0 0 8
1.802	50.7	28	4 2 4
1.725	53.1	15	2 2 8
1.618	56.9	8	4 2 6

Structure:
a b c (Å): 8.964 8.964 16.454
angles (deg): 90.00 90.00 90.00
Space group I4/mcm (No. 140)
One atom of each set of equivalent atoms:
Ac 0.000 0.500 0.250 x4
La 0.117 0.383 0.000 x8
Nd 0.000 0.000 0.000 x4
Nd 0.216 0.284 0.362 x16
Sm 0.000 0.000 0.250 x4

Computed powder diffractogram
Compound: Ac2LaNd4Sm
Radiation: Cu Kα, 1.54184 Å
Structure: DFT lattice parameters and positions (GGA-PBE)
Intensities are scaled so that the largest is 100.

Peak list (12 most intense, 2θ from 10° to 80°, sorted by position)
d/Å	2θ/deg	intensity	h k l
3.082	29.0	100	1 1 1
3.046	29.3	32	0 0 4
2.666	33.6	45	1 1 -3
2.653	33.8	22	2 0 2
1.893	48.1	8	0 2 0
1.889	48.2	17	3 1 -1
1.872	48.6	16	1 1 5
1.613	57.1	10	2 2 -2
1.608	57.3	25	4 0 0
1.602	57.5	10	3 1 3
1.598	57.7	10	1 1 -7
1.541	60.0	13	2 2 2

Structure:
a b c (Å): 6.540 3.786 12.389
angles (deg): 90.00 100.43 90.00
Space group P2/m (No. 10)
One atom of each set of equivalent atoms:
Ac 0.000 0.000 0.000 x1
Ac 0.500 0.500 0.000 x1
La 0.000 0.500 0.500 x1
Nd 0.248 0.000 0.745 x2
Nd 0.253 0.500 0.256 x2
Sm 0.500 0.000 0.500 x1

Computed powder diffractogram
Compound: Ac2LaTbNd2
Radiation: Cu Kα, 1.54184 Å
Structure: DFT lattice parameters and positions (GGA-PBE)
Intensities are scaled so that the largest is 100.

Peak list (12 most intense, 2θ from 10° to 80°, sorted by position)
d/Å	2θ/deg	intensity	h k l
3.012	29.7	94	0 2 2
2.984	29.9	100	2 0 0
2.324	38.7	9	2 0 2
2.120	42.7	35	2 2 2
1.853	49.2	9	0 0 4
1.729	53.0	24	3 1 2
1.725	53.1	27	3 3 0
1.575	58.6	10	2 0 4
1.574	58.7	20	1 3 4
1.491	62.3	8	2 6 0
1.338	70.4	11	3 5 2
1.262	75.3	15	3 3 4

Structure:
a b c (Å): 5.976 10.322 7.412
angles (deg): 90.00 90.00 90.00
Space group Pmc2_1 (No. 26)
One atom of each set of equivalent atoms:
Ac 0.000 0.000 0.000 x2
Ac 0.500 0.172 0.250 x2
La 0.500 0.500 0.000 x2
Tb 0.000 0.335 0.750 x2
Nd 0.000 0.342 0.250 x2
Nd 0.500 0.174 0.750 x2

Computed powder diffractogram
Compound: AcLa4Tb2Nd
Radiation: Cu Kα, 1.54184 Å
Structure: DFT lattice parameters and positions (GGA-PBE)
Intensities are scaled so that the largest is 100.

Peak list (12 most intense, 2θ from 10° to 80°, sorted by position)
d/Å	2θ/deg	intensity	h k l
3.039	29.4	100	1 1 2
2.645	33.9	17	2 0 -4
2.632	34.1	17	0 2 0
2.618	34.2	17	4 0 0
1.865	48.8	18	6 0 -4
1.857	49.1	18	4 2 0
1.593	57.9	15	5 1 -6
1.587	58.1	15	1 3 2
1.581	58.4	14	7 1 -2
1.519	61.0	13	6 2 -4
1.210	79.1	6	5 3 -6
1.206	79.5	6	7 3 -2

Structure:
a b c (Å): 11.743 5.264 10.582
angles (deg): 90.00 116.89 90.00
Space group C2/m (No. 12)
One atom of each set of equivalent atoms:
Ac 0.000 0.000 0.000 x2
La 0.247 0.000 0.871 x4
La 0.249 0.500 0.623 x4
Tb 0.001 0.500 0.746 x4
Nd 0.000 0.000 0.500 x2

Computed powder diffractogram
Compound: AcLaTb3Nd
Radiation: Cu Kα, 1.54184 Å
Structure: DFT lattice parameters and positions (GGA-PBE)
Intensities are scaled so that the largest is 100.

Peak list (12 most intense, 2θ from 10° to 80°, sorted by position)
d/Å	2θ/deg	intensity	h k l
3.413	26.1	18	6 0 0
3.044	29.3	76	5 1 -1
3.033	29.4	47	5 1 1
2.976	30.0	21	4 0 -2
2.965	30.1	13	4 0 2
2.887	31.0	67	0 2 0
2.809	31.9	100	3 1 2
2.610	34.4	39	7 1 0
2.071	43.7	25	4 2 -2
1.696	54.1	17	5 3 -1
1.651	55.7	21	3 3 2
1.542	60.0	15	0 2 4

Structure:
a b c (Å): 20.478 5.774 7.293
angles (deg): 90.00 90.23 90.00
Space group C2/m (No. 12)
One atom of each set of equivalent atoms:
Ac 0.147 0.000 0.038 x4
La 0.146 0.000 0.479 x4
Tb 0.021 0.000 0.742 x4
Tb 0.164 0.500 0.747 x4
Tb 0.219 0.500 0.263 x4
Nd 0.053 0.500 0.270 x4

Computed powder diffractogram
Compound: Ac5LaTbNd2
Radiation: Cu Kα, 1.54184 Å
Structure: DFT lattice parameters and positions (GGA-PBE)
Intensities are scaled so that the largest is 100.

Peak list (12 most intense, 2θ from 10° to 80°, sorted by position)
d/Å	2θ/deg	intensity	h k l
3.367	26.5	42	2 1 3
3.342	26.7	50	2 2 0
3.130	28.5	100	2 0 4
2.989	29.9	11	3 1 0
2.814	31.8	9	3 1 2
2.590	34.6	15	3 2 1
2.272	39.7	19	4 1 1
2.120	42.7	13	4 1 3
2.088	43.3	11	0 0 8
1.886	48.3	21	4 2 4
1.771	51.6	13	2 2 8
1.653	55.6	12	4 1 7

Structure:
a b c (Å): 9.452 9.452 16.705
angles (deg): 90.00 90.00 90.00
Space group I4/mcm (No. 140)
One atom of each set of equivalent atoms:
Ac 0.000 0.000 0.000 x4
Ac 0.209 0.291 0.138 x16
La 0.000 0.000 0.250 x4
Tb 0.000 0.500 0.250 x4
Nd 0.110 0.390 0.500 x8

Computed powder diffractogram
Compound: AcLa3Nd2Te6
Radiation: Cu Kα, 1.54184 Å
Structure: DFT lattice parameters and positions (GGA-PBE)
Intensities are scaled so that the largest is 100.

Peak list (12 most intense, 2θ from 10° to 80°, sorted by position)
d/Å	2θ/deg	intensity	h k l
3.239	27.5	100	2 0 -2
2.294	39.3	39	1 3 -3
2.287	39.4	38	2 0 2
1.873	48.6	14	2 6 -2
1.868	48.7	7	0 0 4
1.864	48.9	7	4 0 0
1.619	56.9	13	4 0 -4
1.449	64.3	12	3 3 -5
1.447	64.4	12	5 3 -3
1.325	71.2	9	1 9 -3
1.323	71.3	7	2 0 -6
1.320	71.4	7	1 3 5

Structure:
a b c (Å): 7.917 13.781 7.934
angles (deg): 90.00 109.61 90.00
Space group C2/m (No. 12)
One atom of each set of equivalent atoms:
Ac 0.000 0.000 0.000 x2
La 0.000 0.162 0.500 x4
La 0.000 0.500 0.500 x2
Nd 0.000 0.332 0.000 x4
Te 0.240 0.500 0.246 x4
Te 0.245 0.329 0.748 x8

Computed powder diffractogram
Compound: AcLa4Nd2Tm
Radiation: Cu Kα, 1.54184 Å
Structure: DFT lattice parameters and positions (GGA-PBE)
Intensities are scaled so that the largest is 100.

Peak list (12 most intense, 2θ from 10° to 80°, sorted by position)
d/Å	2θ/deg	intensity	h k l
3.043	29.4	100	1 1 2
2.648	33.8	17	2 0 -4
2.634	34.0	17	0 2 0
2.623	34.2	17	4 0 0
1.867	48.8	18	2 2 -4
1.862	48.9	6	6 0 -4
1.859	49.0	12	4 2 0
1.595	57.8	15	5 1 -6
1.589	58.1	15	1 3 2
1.584	58.3	14	7 1 -2
1.521	60.9	13	6 2 -4
1.206	79.4	6	7 3 -2

Structure:
a b c (Å): 11.746 5.269 10.593
angles (deg): 90.00 116.73 90.00
Space group C2/m (No. 12)
One atom of each set of equivalent atoms:
Ac 0.000 0.000 0.000 x2
La 0.246 0.000 0.869 x4
La 0.248 0.500 0.621 x4
Nd 0.002 0.500 0.744 x4
Tm 0.000 0.000 0.500 x2